Pa2Mn17C2: theoretical powder XRD pattern (Cu Kα X-rays), based on the PBE geometry in Alexandria.

Main lines, low angle first (10 to 90 degrees two-theta):
2θ (°), Rel. int., (hkl)
20.83, 38, 1 1 1
30.39, 63, 1 1 -2
36.49, 59, 1 3 1
38.30, 36, 2 2 -2
42.39, 100, 0 4 0
42.92, 62, 0 0 3
43.05, 62, 3 3 0
44.72, 45, 4 0 -2

Atomic structure:
Cell: 9.4589 8.5372 6.3896 Å, 90.00 98.30 90.00°
Space group C2/m (No. 12)
Unique sites:
1 Pa 0.1491 0.0000 0.3397 (multiplicity 4)
2 Mn 0.0000 0.2302 0.0000 (multiplicity 4)
3 Mn 0.0000 0.5000 0.5000 (multiplicity 2)
4 Mn 0.0967 0.5000 0.8993 (multiplicity 4)
5 Mn 0.0978 0.2552 0.6564 (multiplicity 8)
6 Mn 0.1415 0.3639 0.2752 (multiplicity 8)
7 Mn 0.1467 0.0000 0.8656 (multiplicity 4)
8 Mn 0.2500 0.2500 0.0000 (multiplicity 4)
9 C 0.2500 0.2500 0.5000 (multiplicity 4)